Entry 1:
This entry pairs a crystal structure of ZnCu2Bi with its simulated PXRD pattern. Radiation: Cu Kα, 1.54184 Å. Structure: DFT lattice parameters and positions (GGA-PBE).

Top 6 peaks for 10 to 90 degrees two-theta, most intense first:
2θ/deg  intensity  index
39.1  100  2 2 0
70.9  27  4 2 2
30.7  23  2 1 0
27.4  19  2 0 0
56.5  15  4 0 0
63.9  13  4 2 0

Unit cell a=6.5131 b=6.5131 c=6.5131 alpha=90.00 beta=90.00 gamma=90.00
Space group Pm-3m (No. 221)
One atom of each set of equivalent atoms:
Zn (0.0000, 0.0000, 0.0000) x1
Zn (0.0000, 0.0000, 0.5000) x3
Cu (0.2137, 0.2137, 0.2137) x8
Bi (0.0000, 0.5000, 0.5000) x3
Bi (0.5000, 0.5000, 0.5000) x1

Entry 2:
This entry pairs a crystal structure of Dy5Bi3 with its simulated PXRD pattern. Radiation: Cu Kα, 1.54184 Å. Structure: DFT lattice parameters and positions (GGA-PBE).

Top 6 peaks for 10 to 90 degrees two-theta, most intense first:
2θ/deg  intensity  index
33.0  100  2 1 1
34.3  74  1 1 2
33.9  50  3 0 0
52.9  32  2 1 3
29.8  24  2 1 0
28.1  23  0 0 2

Unit cell a=9.1628 b=9.1628 c=6.3619 alpha=90.00 beta=90.00 gamma=120.00
Space group P6_3/mcm (No. 193)
One atom of each set of equivalent atoms:
Dy (0.0000, 0.2436, 0.2500) x6
Dy (0.3333, 0.6667, 0.0000) x4
Bi (0.0000, 0.3892, 0.7500) x6

Entry 3:
This entry pairs a crystal structure of DyErBi2Te2 with its simulated PXRD pattern. Radiation: Cu Kα, 1.54184 Å. Structure: DFT lattice parameters and positions (GGA-PBE).

Top 6 peaks for 10 to 90 degrees two-theta, most intense first:
2θ/deg  intensity  index
30.4  100  1 1 1
34.8  81  1 1 2
41.2  50  2 0 0
28.9  44  0 0 3
51.1  34  2 0 3
35.5  29  1 0 3

Unit cell a=4.3790 b=4.3790 c=9.2752 alpha=90.00 beta=90.00 gamma=90.00
Space group P4mm (No. 99)
One atom of each set of equivalent atoms:
Dy (0.0000, 0.0000, 0.0000) x1
Er (0.5000, 0.5000, 0.4305) x1
Bi (0.0000, 0.5000, 0.7152) x2
Te (0.0000, 0.0000, 0.3410) x1
Te (0.5000, 0.5000, 0.0911) x1

Entry 4:
This entry pairs a crystal structure of DyErZr2Bi2 with its simulated PXRD pattern. Radiation: Cu Kα, 1.54184 Å. Structure: DFT lattice parameters and positions (GGA-PBE).

Top 6 peaks for 10 to 90 degrees two-theta, most intense first:
2θ/deg  intensity  index
36.3  100  1 1 4
41.8  62  2 0 0
31.1  61  1 1 2
29.2  57  1 1 0
33.7  45  1 0 5
31.9  33  0 0 6

Unit cell a=4.3226 b=4.3226 c=16.8339 alpha=90.00 beta=90.00 gamma=90.00
Space group I4mm (No. 107)
One atom of each set of equivalent atoms:
Dy (0.0000, 0.0000, 0.0000) x2
Er (0.0000, 0.0000, 0.3509) x2
Zr (0.0000, 0.5000, 0.1760) x4
Bi (0.0000, 0.0000, 0.5402) x2
Bi (0.0000, 0.0000, 0.8115) x2

Entry 5:
This entry pairs a crystal structure of DyHo2Bi3 with its simulated PXRD pattern. Radiation: Cu Kα, 1.54184 Å. Structure: DFT lattice parameters and positions (GGA-PBE).

Top 6 peaks for 10 to 90 degrees two-theta, most intense first:
2θ/deg  intensity  index
28.3  100  1 0 2
40.5  78  1 1 0
50.2  21  0 2 2
73.7  21  3 0 0
66.3  19  1 1 6
66.4  19  2 1 2

Unit cell a=4.4485 b=4.4485 c=10.9336 alpha=90.00 beta=90.00 gamma=120.00
Space group P-3m1 (No. 164)
One atom of each set of equivalent atoms:
Dy (0.0000, 0.0000, 0.0000) x1
Ho (0.3333, 0.6667, 0.3334) x2
Bi (0.0000, 0.0000, 0.5000) x1
Bi (0.3333, 0.6667, 0.8327) x2

Entry 6:
This entry pairs a crystal structure of Dy3HoLu2Bi2Os with its simulated PXRD pattern. Radiation: Cu Kα, 1.54184 Å. Structure: DFT lattice parameters and positions (GGA-PBE).

Top 6 peaks for 10 to 90 degrees two-theta, most intense first:
2θ/deg  intensity  index
30.3  100  1 3 1
32.9  85  1 4 0
39.7  67  1 5 1
33.3  52  0 1 3
37.9  49  0 3 3
42.8  31  2 0 0

Unit cell a=4.2300 b=14.2512 c=8.2056 alpha=90.00 beta=90.00 gamma=90.00
Space group Amm2 (No. 38)
One atom of each set of equivalent atoms:
Dy (0.0000, 0.0000, 0.0000) x2
Dy (0.0000, 0.1937, 0.4218) x4
Ho (0.5000, 0.0000, 0.3837) x2
Lu (0.5000, 0.1153, 0.7303) x4
Bi (0.5000, 0.1675, 0.1140) x4
Os (0.0000, 0.0000, 0.6192) x2

Entry 7:
This entry pairs a crystal structure of DyHo3Lu2Bi2Os with its simulated PXRD pattern. Radiation: Cu Kα, 1.54184 Å. Structure: DFT lattice parameters and positions (GGA-PBE).

Top 6 peaks for 10 to 90 degrees two-theta, most intense first:
2θ/deg  intensity  index
30.4  100  1 0 2
32.9  83  1 4 0
39.8  65  1 5 1
33.4  51  0 1 3
38.0  49  0 3 3
60.9  33  1 1 5

Unit cell a=4.2241 b=14.2241 c=8.2020 alpha=90.00 beta=90.00 gamma=90.00
Space group Amm2 (No. 38)
One atom of each set of equivalent atoms:
Dy (0.0000, 0.0000, 0.0000) x2
Ho (0.5000, 0.0000, 0.6167) x2
Ho (0.5000, 0.1933, 0.0403) x4
Lu (0.0000, 0.1157, 0.3485) x4
Bi (0.0000, 0.1677, 0.7316) x4
Os (0.5000, 0.0000, 0.2378) x2

Entry 8:
This entry pairs a crystal structure of Li4DyBiO6 with its simulated PXRD pattern. Radiation: Cu Kα, 1.54184 Å. Structure: DFT lattice parameters and positions (GGA-PBE).

Top 6 peaks for 10 to 90 degrees two-theta, most intense first:
2θ/deg  intensity  index
17.8  100  0 0 1
40.5  47  1 3 1
33.0  44  1 3 0
19.5  43  1 1 0
34.7  38  2 0 0
22.2  32  1 1 -1

Unit cell a=5.4949 b=9.5822 c=5.2841 alpha=90.00 beta=109.60 gamma=90.00
Space group C2 (No. 5)
One atom of each set of equivalent atoms:
Li (0.0000, 0.0000, 0.0000) x2
Li (0.0000, 0.1432, 0.5000) x2
Li (0.0000, 0.3030, 0.0000) x2
Li (0.0000, 0.6232, 0.0000) x2
Dy (0.0000, 0.8098, 0.5000) x2
Bi (0.0000, 0.4760, 0.5000) x2
O (0.2339, 0.3179, 0.7471) x4
O (0.2397, 0.4795, 0.2577) x4
O (0.2397, 0.6351, 0.7495) x4

What did the sixth record say?
This entry pairs a crystal structure of Dy3HoLu2Bi2Os with its simulated PXRD pattern. Radiation: Cu Kα, 1.54184 Å. Structure: DFT lattice parameters and positions (GGA-PBE).

Top 6 peaks for 10 to 90 degrees two-theta, most intense first:
2θ/deg  intensity  index
30.3  100  1 3 1
32.9  85  1 4 0
39.7  67  1 5 1
33.3  52  0 1 3
37.9  49  0 3 3
42.8  31  2 0 0

Unit cell a=4.2300 b=14.2512 c=8.2056 alpha=90.00 beta=90.00 gamma=90.00
Space group Amm2 (No. 38)
One atom of each set of equivalent atoms:
Dy (0.0000, 0.0000, 0.0000) x2
Dy (0.0000, 0.1937, 0.4218) x4
Ho (0.5000, 0.0000, 0.3837) x2
Lu (0.5000, 0.1153, 0.7303) x4
Bi (0.5000, 0.1675, 0.1140) x4
Os (0.0000, 0.0000, 0.6192) x2

Q: Which formula does entry 3 have?
A: DyErBi2Te2